1.
The following is a theoretical powder X-ray diffraction pattern of NaCaNbSnO6. It was derived from a DFT-relaxed cell (GGA-PBE, the Materials Project), using Cu Kα.

Largest 10 diffraction maxima, sorted by position, 10° ≤ 2θ ≤ 80°:
- hkl 1 1 1, 19.03°, intensity 29
- hkl 2 0 0, 22.01°, intensity 664
- hkl 2 2 0, 31.33°, intensity 1000
- hkl 3 1 1, 36.91°, intensity 21
- hkl 4 0 0, 44.89°, intensity 413
- hkl 4 2 0, 50.54°, intensity 279
- hkl 4 2 2, 55.76°, intensity 398
- hkl 4 4 0, 65.37°, intensity 242
- hkl 6 0 0, 69.88°, intensity 132
- hkl 6 2 0, 74.27°, intensity 173

Atomic structure:
```
data_NaCaNbSnO6
_chemical_formula_sum 'Na4 Ca4 Nb4 Sn4 O24'
_space_group_name_H-M_alt 'F -4 3 m'
_space_group_IT_number 216
_space_group_name_Hall 'F -4 2 3'
_cell_length_a 8.0761
_cell_length_b 8.0761
_cell_length_c 8.0761
_cell_angle_alpha 90.00
_cell_angle_beta 90.00
_cell_angle_gamma 90.00
loop_
_atom_site_label
_atom_site_type_symbol
_atom_site_fract_x
_atom_site_fract_y
_atom_site_fract_z
Na1 Na 0.0000 0.0000 0.0000
Ca1 Ca 0.0000 0.0000 0.5000
Nb1 Nb 0.2500 0.2500 0.7500
Sn1 Sn 0.2500 0.2500 0.2500
O1 O 0.0034 0.2500 0.7500
```

2.
The following is a theoretical powder X-ray diffraction pattern of Na3Ca7Ti7Nb3O30. It was derived from a DFT-relaxed cell (GGA-PBE, the Materials Project), using Cu Kα.

Largest 10 diffraction maxima, sorted by position, 10° ≤ 2θ ≤ 80°:
- hkl 0 0 5, 22.62°, intensity 350
- hkl 2 0 -1, 23.06°, intensity 65
- hkl 2 1 0, 32.20°, intensity 1000
- hkl 0 2 0, 46.15°, intensity 363
- hkl 0 0 10, 46.25°, intensity 172
- hkl 2 0 -10, 52.01°, intensity 112
- hkl 2 2 5, 57.41°, intensity 355
- hkl 4 2 0, 67.37°, intensity 281
- hkl 4 1 -10, 72.06°, intensity 49
- hkl 2 3 0, 76.59°, intensity 98

Atomic structure:
```
data_Na3Ca7Ti7Nb3O30
_chemical_formula_sum 'Na3 Ca7 Ti7 Nb3 O30'
_space_group_name_H-M_alt 'P 1 m 1'
_space_group_IT_number 6
_cell_length_a 7.8680
_cell_length_b 3.9342
_cell_length_c 19.6308
_cell_angle_alpha 90.00
_cell_angle_beta 90.02
_cell_angle_gamma 90.00
loop_
_space_group_symop_operation_xyz
'x,y,z'
'x,-y,z'
loop_
_atom_site_label
_atom_site_type_symbol
_atom_site_fract_x
_atom_site_fract_y
_atom_site_fract_z
Na1 Na 0.0000 0.0000 0.0000
Na2 Na 0.0060 0.0000 0.7887
Na3 Na 0.5176 0.0000 0.9991
Ca1 Ca 0.0056 0.0000 0.5981
Ca2 Ca 0.0069 0.0000 0.3981
Ca3 Ca 0.5111 0.0000 0.3981
Ca4 Ca 0.5123 0.0000 0.5984
Ca5 Ca 0.5156 0.0000 0.7819
Ca6 Ca 0.5246 0.0000 0.2000
Ca7 Ca 0.9935 0.0000 0.2000
Ti1 Ti 0.2573 0.5000 0.6922
Ti2 Ti 0.2590 0.5000 0.2983
Ti3 Ti 0.2593 0.5000 0.4956
Ti4 Ti 0.7589 0.5000 0.0988
Ti5 Ti 0.7590 0.5000 0.2980
Ti6 Ti 0.7587 0.5000 0.4967
Ti7 Ti 0.7623 0.5000 0.6951
Nb1 Nb 0.2593 0.5000 0.0972
Nb2 Nb 0.2591 0.5000 0.8928
Nb3 Nb 0.7585 0.5000 0.8980
O1 O 0.0067 0.5000 0.1028
O2 O 0.0082 0.5000 0.2963
O3 O 0.0082 0.5000 0.8943
O4 O 0.0088 0.5000 0.4952
O5 O 0.0086 0.5000 0.6896
O6 O 0.2589 0.0000 0.1024
O7 O 0.2590 0.0000 0.2973
O8 O 0.2587 0.0000 0.4952
O9 O 0.2590 0.5000 0.1991
O10 O 0.2589 0.5000 0.3964
O11 O 0.2604 0.5000 0.9969
O12 O 0.2613 0.5000 0.5947
O13 O 0.2661 0.0000 0.8940
O14 O 0.2675 0.0000 0.6924
O15 O 0.2699 0.5000 0.7929
O16 O 0.5092 0.5000 0.4946
O17 O 0.5089 0.5000 0.6939
O18 O 0.5093 0.5000 0.8932
O19 O 0.5098 0.5000 0.2964
O20 O 0.5114 0.5000 0.1032
O21 O 0.7461 0.5000 0.7931
O22 O 0.7502 0.0000 0.6920
O23 O 0.7511 0.0000 0.8926
O24 O 0.7567 0.5000 0.5946
O25 O 0.7577 0.5000 0.9977
O26 O 0.7592 0.0000 0.1039
O27 O 0.7590 0.0000 0.2955
O28 O 0.7593 0.0000 0.4947
O29 O 0.7590 0.5000 0.1984
O30 O 0.7591 0.5000 0.3960
```

3.
The following is a theoretical powder X-ray diffraction pattern of NaCaZrNbO6. It was derived from a DFT-relaxed cell (GGA-PBE, the Materials Project), using Cu Kα.

Largest 10 diffraction maxima, sorted by position, 10° ≤ 2θ ≤ 80°:
- hkl 1 1 1, 18.79°, intensity 19
- hkl 2 0 0, 21.73°, intensity 622
- hkl 2 2 0, 30.92°, intensity 1000
- hkl 4 0 0, 44.29°, intensity 443
- hkl 4 2 0, 49.85°, intensity 243
- hkl 4 2 2, 54.99°, intensity 385
- hkl 4 4 0, 64.43°, intensity 253
- hkl 6 0 0, 68.87°, intensity 109
- hkl 6 2 0, 73.17°, intensity 162
- hkl 6 2 2, 77.38°, intensity 9

Atomic structure:
```
data_NaCaZrNbO6
_chemical_formula_sum 'Na4 Ca4 Zr4 Nb4 O24'
_space_group_name_H-M_alt 'F -4 3 m'
_space_group_IT_number 216
_space_group_name_Hall 'F -4 2 3'
_cell_length_a 8.1802
_cell_length_b 8.1802
_cell_length_c 8.1802
_cell_angle_alpha 90.00
_cell_angle_beta 90.00
_cell_angle_gamma 90.00
loop_
_atom_site_label
_atom_site_type_symbol
_atom_site_fract_x
_atom_site_fract_y
_atom_site_fract_z
Na1 Na 0.0000 0.0000 0.0000
Ca1 Ca 0.0000 0.0000 0.5000
Zr1 Zr 0.2500 0.2500 0.2500
Nb1 Nb 0.2500 0.2500 0.7500
O1 O 0.0055 0.2500 0.7500
```